CSe4Br2: simulated powder diffractogram (Cu Ka), based on a DFT-relaxed cell (GGA-PBE, Alexandria).

Crystal structure
```
data_CSe4Br2
_chemical_formula_sum 'C4 Se16 Br8'
_symmetry_space_group_name_H-M 'P n a 21'
_symmetry_Int_Tables_number 33
_symmetry_space_group_name_Hall 'P 2c -2n'
_cell_length_a 20.736
_cell_length_b 5.563
_cell_length_c 8.493
_cell_angle_alpha 90.00
_cell_angle_beta 90.00
_cell_angle_gamma 90.00
loop_
_atom_site_label
_atom_site_type_symbol
_atom_site_fract_x
_atom_site_fract_y
_atom_site_fract_z
C1 C 0.125 0.093 0.000
Se1 Se 0.080 0.233 0.831
Se2 Se 0.097 0.113 0.208
Se3 Se 0.193 0.877 0.262
Se4 Se 0.200 0.916 0.981
Br1 Br 0.005 0.620 0.522
Br2 Br 0.173 0.064 0.648
```

Most intense lines, 2θ = 10–80°, most intense first:
(3 1 0), 20.5°, d 4.334, intensity 100; (2 1 1), 20.9°, d 4.245, intensity 47; (4 0 3), 36.2°, d 2.483, intensity 38; (5 2 1), 40.5°, d 2.229, intensity 35; (4 1 0), 23.5°, d 3.792, intensity 27; (1 1 3), 35.9°, d 2.504, intensity 22; (0 1 1), 19.1°, d 4.653, intensity 19; (1 1 2), 26.8°, d 3.331, intensity 19; (4 0 2), 27.1°, d 3.285, intensity 19; (6 0 2), 33.4°, d 2.682, intensity 17

Dy3Sb5O12: simulated powder diffractogram (Cu Ka), based on a DFT-relaxed cell (GGA-PBE, Alexandria).

Crystal structure
```
data_Dy3Sb5O12
_chemical_formula_sum 'Dy12 Sb20 O48'
_symmetry_space_group_name_H-M 'I -4 3 m'
_symmetry_Int_Tables_number 217
_symmetry_space_group_name_Hall 'I -4 2 3'
_cell_length_a 10.885
_cell_length_b 10.885
_cell_length_c 10.885
_cell_angle_alpha 90.00
_cell_angle_beta 90.00
_cell_angle_gamma 90.00
loop_
_atom_site_label
_atom_site_type_symbol
_atom_site_fract_x
_atom_site_fract_y
_atom_site_fract_z
Dy1 Dy 0.000 0.250 0.500
Sb1 Sb 0.000 0.000 0.283
Sb2 Sb 0.243 0.243 0.757
O1 O 0.101 0.101 0.604
O2 O 0.139 0.139 0.340
```

Most intense lines, 2θ = 10–80°, most intense first:
(2 2 2), 28.4°, d 3.142, intensity 100; (4 4 0), 47.2°, d 1.924, intensity 42; (6 2 2), 56.0°, d 1.641, intensity 38; (4 0 0), 32.9°, d 2.721, intensity 35; (1 1 0), 11.5°, d 7.697, intensity 16; (6 6 2), 76.3°, d 1.249, intensity 13; (8 4 0), 78.6°, d 1.217, intensity 11; (4 4 4), 58.8°, d 1.571, intensity 9; (8 0 0), 69.0°, d 1.361, intensity 5; (3 2 1), 30.7°, d 2.909, intensity 5

Rb7HgO2: simulated powder diffractogram (Cu Ka), based on a DFT-relaxed cell (GGA-PBE, Alexandria).

Crystal structure
```
data_Rb7HgO2
_chemical_formula_sum 'Rb14 Hg2 O4'
_symmetry_space_group_name_H-M 'C m m m'
_symmetry_Int_Tables_number 65
_symmetry_space_group_name_Hall '-C 2 2'
_cell_length_a 9.262
_cell_length_b 15.462
_cell_length_c 5.736
_cell_angle_alpha 90.00
_cell_angle_beta 90.00
_cell_angle_gamma 90.00
loop_
_atom_site_label
_atom_site_type_symbol
_atom_site_fract_x
_atom_site_fract_y
_atom_site_fract_z
Rb1 Rb 0.000 0.000 0.000
Rb2 Rb 0.000 0.193 0.500
Rb3 Rb 0.190 0.352 0.000
Hg1 Hg 0.000 0.500 0.500
O1 O 0.000 0.199 0.000
```

Most intense lines, 2θ = 10–80°, most intense first:
(1 3 1), 25.1°, d 3.542, intensity 100; (2 0 1), 24.7°, d 3.603, intensity 47; (0 0 2), 31.2°, d 2.868, intensity 36; (2 4 0), 30.1°, d 2.968, intensity 32; (3 1 1), 33.5°, d 2.677, intensity 31; (3 3 0), 33.8°, d 2.648, intensity 29; (2 0 0), 19.1°, d 4.643, intensity 27; (0 4 1), 27.8°, d 3.206, intensity 24; (3 7 1), 53.5°, d 1.714, intensity 24; (3 3 2), 46.7°, d 1.946, intensity 23

Er4GaHg2Au: simulated powder diffractogram (Cu Ka), based on a DFT-relaxed cell (GGA-PBE, Alexandria).

Crystal structure
```
data_Er4GaHg2Au
_chemical_formula_sum 'Er12 Ga3 Hg6 Au3'
_symmetry_space_group_name_H-M 'R -3 m'
_symmetry_Int_Tables_number 166
_symmetry_space_group_name_Hall '-R 3 2"'
_cell_length_a 5.1394
_cell_length_b 5.1394
_cell_length_c 25.0796
_cell_angle_alpha 90.00
_cell_angle_beta 90.00
_cell_angle_gamma 120.00
loop_
_atom_site_label
_atom_site_type_symbol
_atom_site_fract_x
_atom_site_fract_y
_atom_site_fract_z
Er1 Er 0.0000 0.0000 0.1242
Er2 Er 0.0000 0.0000 0.3744
Ga1 Ga 0.0000 0.0000 0.5000
Hg1 Hg 0.0000 0.0000 0.2483
Au1 Au 0.0000 0.0000 0.0000
```

Most intense lines, 2θ = 10–80°, most intense first:
(1 1 0), 35.0°, d 2.566, intensity 100; (3 0 0), 62.7°, d 1.483, intensity 28; (2 0 8), 50.3°, d 1.815, intensity 18; (1 0 16), 62.9°, d 1.478, intensity 9; (2 2 0), 73.7°, d 1.285, intensity 6; (0 2 16), 74.0°, d 1.282, intensity 6; (0 0 6), 21.2°, d 4.191, intensity 2; (0 0 3), 10.6°, d 8.360, intensity 2; (1 0 1), 20.3°, d 4.382, intensity 2; (0 1 5), 26.8°, d 3.329, intensity 1

In8Au: simulated powder diffractogram (Cu Ka), based on a DFT-relaxed cell (GGA-PBE, Alexandria).

Crystal structure
```
data_In8Au
_chemical_formula_sum 'In16 Au2'
_symmetry_space_group_name_H-M 'I 4/m m m'
_symmetry_Int_Tables_number 139
_symmetry_space_group_name_Hall '-I 4 2'
_cell_length_a 10.095
_cell_length_b 10.095
_cell_length_c 4.538
_cell_angle_alpha 90.00
_cell_angle_beta 90.00
_cell_angle_gamma 90.00
loop_
_atom_site_label
_atom_site_type_symbol
_atom_site_fract_x
_atom_site_fract_y
_atom_site_fract_z
In1 In 0.000 0.327 0.000
In2 In 0.159 0.159 0.500
Au1 Au 0.000 0.000 0.000
```

Most intense lines, 2θ = 10–80°, most intense first:
(3 0 1), 33.1°, d 2.703, intensity 100; (3 3 0), 37.8°, d 2.379, intensity 36; (6 3 1), 65.3°, d 1.428, intensity 26; (3 3 2), 56.0°, d 1.642, intensity 21; (0 0 2), 39.7°, d 2.269, intensity 15; (3 0 3), 67.9°, d 1.380, intensity 12; (6 0 0), 54.5°, d 1.682, intensity 11; (6 0 2), 69.6°, d 1.351, intensity 11; (1 1 0), 12.4°, d 7.138, intensity 5; (4 1 1), 41.9°, d 2.155, intensity 3

La3PrInOs: simulated powder diffractogram (Cu Ka), based on a DFT-relaxed cell (GGA-PBE, Alexandria).

Crystal structure
```
data_La3PrInOs
_chemical_formula_sum 'La12 Pr4 In4 Os4'
_symmetry_space_group_name_H-M 'C 1 2/m 1'
_symmetry_Int_Tables_number 12
_symmetry_space_group_name_Hall '-C 2y'
_cell_length_a 16.576
_cell_length_b 7.808
_cell_length_c 6.209
_cell_angle_alpha 90.00
_cell_angle_beta 111.93
_cell_angle_gamma 90.00
loop_
_atom_site_label
_atom_site_type_symbol
_atom_site_fract_x
_atom_site_fract_y
_atom_site_fract_z
La1 La 0.119 0.244 0.118
La2 La 0.175 0.000 0.674
Pr1 Pr 0.000 0.305 0.500
In1 In 0.196 0.500 0.697
Os1 Os 0.000 0.000 0.240
```

Most intense lines, 2θ = 10–80°, most intense first:
(4 2 -1), 32.2°, d 2.778, intensity 100; (0 2 2), 38.9°, d 2.318, intensity 61; (4 0 1), 32.5°, d 2.756, intensity 58; (1 1 0), 12.7°, d 6.962, intensity 46; (10 2 -2), 61.5°, d 1.507, intensity 33; (2 0 0), 11.5°, d 7.688, intensity 31; (2 0 -2), 28.8°, d 3.104, intensity 29; (6 0 0), 35.0°, d 2.564, intensity 29; (6 2 -3), 53.2°, d 1.723, intensity 27; (1 1 2), 35.7°, d 2.514, intensity 21

Nb2Al2Re: simulated powder diffractogram (Cu Ka), based on a DFT-relaxed cell (GGA-PBE, Alexandria).

Crystal structure
```
data_Nb2Al2Re
_chemical_formula_sum 'Nb4 Al4 Re2'
_symmetry_space_group_name_H-M 'P 4/m b m'
_symmetry_Int_Tables_number 127
_symmetry_space_group_name_Hall '-P 4 2ab'
_cell_length_a 6.756
_cell_length_b 6.756
_cell_length_c 3.550
_cell_angle_alpha 90.00
_cell_angle_beta 90.00
_cell_angle_gamma 90.00
loop_
_atom_site_label
_atom_site_type_symbol
_atom_site_fract_x
_atom_site_fract_y
_atom_site_fract_z
Nb1 Nb 0.171 0.329 0.000
Al1 Al 0.131 0.631 0.500
Re1 Re 0.000 0.000 0.500
```

Most intense lines, 2θ = 10–80°, most intense first:
(2 0 1), 36.7°, d 2.447, intensity 100; (3 1 0), 42.3°, d 2.137, intensity 76; (1 1 1), 31.4°, d 2.850, intensity 76; (2 1 1), 39.1°, d 2.301, intensity 66; (1 1 0), 18.6°, d 4.778, intensity 42; (3 1 2), 68.8°, d 1.365, intensity 36; (2 2 0), 37.7°, d 2.389, intensity 34; (3 3 1), 64.1°, d 1.453, intensity 28; (2 1 0), 29.6°, d 3.022, intensity 23; (0 0 2), 51.5°, d 1.775, intensity 21

RbGa2AgI8: simulated powder diffractogram (Cu Ka), based on a DFT-relaxed cell (GGA-PBE, Alexandria).

Crystal structure
```
data_RbGa2AgI8
_chemical_formula_sum 'Rb1 Ga2 Ag1 I8'
_symmetry_space_group_name_H-M 'P -3'
_symmetry_Int_Tables_number 147
_symmetry_space_group_name_Hall '-P 3'
_cell_length_a 7.4774
_cell_length_b 7.4774
_cell_length_c 10.6793
_cell_angle_alpha 90.00
_cell_angle_beta 90.00
_cell_angle_gamma 120.00
loop_
_atom_site_label
_atom_site_type_symbol
_atom_site_fract_x
_atom_site_fract_y
_atom_site_fract_z
Rb1 Rb 0.0000 0.0000 0.0000
Ga1 Ga 0.3333 0.6667 0.7501
Ag1 Ag 0.0000 0.0000 0.5000
I1 I 0.0074 0.3291 0.6756
I2 I 0.3333 0.6667 0.9918
```

Most intense lines, 2θ = 10–80°, most intense first:
(1 1 1), 25.2°, d 3.529, intensity 100; (2 -1 2), 29.2°, d 3.063, intensity 77; (3 0 0), 41.9°, d 2.159, intensity 47; (1 1 4), 41.6°, d 2.173, intensity 47; (0 0 3), 25.0°, d 3.560, intensity 32; (0 1 1), 16.0°, d 5.537, intensity 30; (3 0 3), 49.4°, d 1.846, intensity 29; (4 -2 1), 49.5°, d 1.841, intensity 15; (4 1 4), 76.2°, d 1.249, intensity 15; (4 -2 4), 60.5°, d 1.531, intensity 15

TaO: simulated powder diffractogram (Cu Ka), based on a DFT-relaxed cell (GGA-PBE, Alexandria).

Crystal structure
```
data_TaO
_chemical_formula_sum 'Ta8 O8'
_symmetry_space_group_name_H-M 'I 4/m'
_symmetry_Int_Tables_number 87
_symmetry_space_group_name_Hall '-I 4'
_cell_length_a 8.501
_cell_length_b 8.501
_cell_length_c 3.135
_cell_angle_alpha 90.00
_cell_angle_beta 90.00
_cell_angle_gamma 90.00
loop_
_atom_site_label
_atom_site_type_symbol
_atom_site_fract_x
_atom_site_fract_y
_atom_site_fract_z
Ta1 Ta 0.104 0.330 0.000
O1 O 0.110 0.779 0.000
```

Most intense lines, 2θ = 10–80°, most intense first:
(2 1 1), 37.2°, d 2.419, intensity 100; (1 1 0), 14.7°, d 6.011, intensity 62; (1 3 0), 33.3°, d 2.688, intensity 45; (5 0 1), 62.1°, d 1.494, intensity 28; (4 2 0), 47.9°, d 1.901, intensity 25; (3 2 1), 48.3°, d 1.884, intensity 21; (4 0 0), 42.5°, d 2.125, intensity 14; (1 3 2), 69.4°, d 1.354, intensity 12; (4 2 2), 79.2°, d 1.209, intensity 11; (2 5 1), 66.3°, d 1.410, intensity 10

YCr2Mo: simulated powder diffractogram (Cu Ka), based on a DFT-relaxed cell (GGA-PBE, Alexandria).

Crystal structure
```
data_YCr2Mo
_chemical_formula_sum 'Y2 Cr4 Mo2'
_symmetry_space_group_name_H-M 'C m m 2'
_symmetry_Int_Tables_number 35
_symmetry_space_group_name_Hall 'C 2 -2'
_cell_length_a 3.214
_cell_length_b 4.645
_cell_length_c 8.711
_cell_angle_alpha 90.00
_cell_angle_beta 90.00
_cell_angle_gamma 90.00
loop_
_atom_site_label
_atom_site_type_symbol
_atom_site_fract_x
_atom_site_fract_y
_atom_site_fract_z
Y1 Y 0.000 0.000 0.000
Cr1 Cr 0.000 0.000 0.527
Cr2 Cr 0.000 0.500 0.715
Mo1 Mo 0.000 0.500 0.303
```

Most intense lines, 2θ = 10–80°, most intense first:
(1 1 2), 39.9°, d 2.260, intensity 100; (0 2 0), 38.8°, d 2.322, intensity 32; (0 0 3), 30.8°, d 2.904, intensity 19; (1 1 1), 35.5°, d 2.529, intensity 17; (1 3 2), 70.9°, d 1.328, intensity 17; (0 0 4), 41.5°, d 2.178, intensity 13; (1 1 5), 64.0°, d 1.455, intensity 13; (2 2 0), 71.4°, d 1.321, intensity 10; (2 0 0), 57.3°, d 1.607, intensity 10; (0 2 4), 58.1°, d 1.589, intensity 9

LiCa6Zn2: simulated powder diffractogram (Cu Ka), based on a DFT-relaxed cell (GGA-PBE, Alexandria).

Crystal structure
```
data_LiCa6Zn2
_chemical_formula_sum 'Li4 Ca24 Zn8'
_symmetry_space_group_name_H-M 'I m m m'
_symmetry_Int_Tables_number 71
_symmetry_space_group_name_Hall '-I 2 2'
_cell_length_a 10.252
_cell_length_b 10.310
_cell_length_c 11.185
_cell_angle_alpha 90.00
_cell_angle_beta 90.00
_cell_angle_gamma 90.00
loop_
_atom_site_label
_atom_site_type_symbol
_atom_site_fract_x
_atom_site_fract_y
_atom_site_fract_z
Li1 Li 0.000 0.000 0.000
Li2 Li 0.000 0.000 0.500
Ca1 Ca 0.000 0.201 0.244
Ca2 Ca 0.195 0.500 0.174
Ca3 Ca 0.220 0.315 0.500
Zn1 Zn 0.000 0.344 0.000
Zn2 Zn 0.000 0.500 0.384
```

Most intense lines, 2θ = 10–80°, most intense first:
(2 3 1), 32.4°, d 2.764, intensity 100; (1 1 0), 12.2°, d 7.270, intensity 93; (2 1 3), 30.9°, d 2.894, intensity 51; (1 3 2), 31.8°, d 2.815, intensity 40; (2 2 2), 29.3°, d 3.048, intensity 40; (0 2 4), 36.6°, d 2.458, intensity 30; (4 0 0), 35.0°, d 2.563, intensity 27; (3 0 3), 35.6°, d 2.519, intensity 26; (5 3 2), 54.6°, d 1.680, intensity 17; (1 1 2), 20.0°, d 4.433, intensity 16

RbPtI: simulated powder diffractogram (Cu Ka), based on a DFT-relaxed cell (GGA-PBE, Alexandria).

Crystal structure
```
data_RbPtI
_chemical_formula_sum 'Rb2 Pt2 I2'
_symmetry_space_group_name_H-M 'P 1'
_symmetry_Int_Tables_number 1
_symmetry_space_group_name_Hall 'P 1'
_cell_length_a 4.904
_cell_length_b 5.377
_cell_length_c 9.310
_cell_angle_alpha 106.71
_cell_angle_beta 90.03
_cell_angle_gamma 90.00
loop_
_atom_site_label
_atom_site_type_symbol
_atom_site_fract_x
_atom_site_fract_y
_atom_site_fract_z
Rb1 Rb 0.000 0.000 0.000
Rb2 Rb 0.002 0.241 0.486
Pt1 Pt 0.001 0.620 0.243
Pt2 Pt 0.501 0.549 0.099
I1 I 0.501 0.406 0.808
I2 I 0.502 0.690 0.384
```

Most intense lines, 2θ = 10–80°, most intense first:
(0 1 0), 17.2°, d 5.149, intensity 100; (1 0 3), 35.3°, d 2.542, intensity 66; (1 -1 0), 25.1°, d 3.551, intensity 42; (0 2 -1), 33.3°, d 2.689, intensity 39; (1 -1 2), 28.9°, d 3.094, intensity 34; (0 1 -2), 22.3°, d 3.988, intensity 31; (2 0 0), 36.6°, d 2.452, intensity 30; (1 2 3), 56.8°, d 1.620, intensity 29; (1 1 3), 43.4°, d 2.084, intensity 25; (1 0 4), 44.7°, d 2.029, intensity 25